1.
LaPm2HoTh: theoretical powder X-ray diffraction pattern (λ = 1.5418 Å (Cu Kα)), based on a structure optimized by DFT (PBE).
No peak broadening, texture or thermal motion is included.

Structural model:
Cell: 8.6819 6.4625 6.4339 Å, 90.00 98.81 90.00°
Fractional coordinates of all 10 atoms:
La 0.0000 0.0000 0.0000
La 0.0000 0.0000 0.5000
Pm 0.3157 0.3141 0.2002
Pm 0.3157 0.6859 0.7002
Pm 0.6843 0.3141 0.2998
Pm 0.6843 0.6859 0.7998
Ho 0.5000 0.1705 0.7500
Ho 0.5000 0.8295 0.2500
Th 0.0000 0.4539 0.7500
Th 0.0000 0.5461 0.2500

The 8 most intense peaks (2θ from 10° to 90°), by intensity:
Position (°2θ)  d/Å  I (rel.)
29.54  3.024  100.0
31.32  2.856  87.2
30.21  2.958  76.0
34.47  2.602  56.2
28.07  3.179  55.5
32.08  2.790  53.0
27.01  3.301  52.8
20.71  4.290  50.8

***

2.
HfMg6TiO8: theoretical powder X-ray diffraction pattern (λ = 1.5418 Å (Cu Kα)), based on a structure optimized by DFT (PBE).
No peak broadening, texture or thermal motion is included.

Structural model:
Cell: 4.3038 4.3038 8.8237 Å, 90.00 90.00 90.00°
Fractional coordinates of all 16 atoms:
Hf 0.0000 0.0000 0.0000
Mg 0.0000 0.0000 0.5000
Mg 0.0000 0.5000 0.2583
Mg 0.0000 0.5000 0.7417
Mg 0.5000 0.0000 0.2583
Mg 0.5000 0.0000 0.7417
Mg 0.5000 0.5000 0.5000
Ti 0.5000 0.5000 0.0000
O 0.0000 0.0000 0.2577
O 0.0000 0.0000 0.7423
O 0.0000 0.5000 0.0000
O 0.0000 0.5000 0.5000
O 0.5000 0.0000 0.0000
O 0.5000 0.0000 0.5000
O 0.5000 0.5000 0.2606
O 0.5000 0.5000 0.7394

The 8 most intense peaks (2θ from 10° to 90°), by intensity:
Position (°2θ)  d/Å  I (rel.)
10.02  8.824  100.0
41.99  2.152  63.6
35.85  2.505  47.0
60.06  1.540  39.2
22.99  3.868  39.2
31.09  2.877  34.3
40.91  2.206  33.9
20.13  4.412  24.9

***

3.
TaGeOs: theoretical powder X-ray diffraction pattern (λ = 1.5418 Å (Cu Kα)), based on a structure optimized by DFT (PBE).
No peak broadening, texture or thermal motion is included.

Structural model:
Cell: 7.5563 7.5563 7.5563 Å, 119.66 83.80 127.81°
Fractional coordinates of all 18 atoms:
Ta 0.0035 0.2500 0.2535
Ta 0.4210 0.8606 0.0604
Ta 0.4274 0.4180 0.5094
Ta 0.8001 0.3606 0.9396
Ta 0.9086 0.9180 0.4906
Ta 0.9965 0.7500 0.7465
Ge 0.0800 0.4209 0.6751
Ge 0.0800 0.9049 0.1591
Ge 0.3671 0.1671 0.7000
Ge 0.4671 0.6671 0.3000
Ge 0.7458 0.4049 0.3249
Ge 0.7458 0.9209 0.8409
Os 0.1615 0.3307 0.9256
Os 0.1615 0.7359 0.3308
Os 0.4051 0.2359 0.0744
Os 0.4051 0.8307 0.6692
Os 0.6573 0.1573 0.5000
Os 0.6573 0.6573 0.0000

The 8 most intense peaks (2θ from 10° to 90°), by intensity:
Position (°2θ)  d/Å  I (rel.)
36.29  2.476  100.0
39.43  2.285  86.7
35.91  2.501  37.5
41.54  2.174  32.0
47.91  1.899  30.6
42.42  2.131  29.7
39.89  2.260  29.5
42.09  2.147  29.4

***

4.
NaBPd3: theoretical powder X-ray diffraction pattern (λ = 1.5418 Å (Cu Kα)), based on a structure optimized by DFT (PBE).
No peak broadening, texture or thermal motion is included.

Structural model:
Cell: 7.9266 7.9266 7.9266 Å, 60.00 60.00 60.00°
Fractional coordinates of all 20 atoms:
Na 0.0000 0.0000 0.0000
Na 0.0000 0.0000 0.5000
Na 0.0000 0.5000 0.0000
Na 0.5000 0.0000 0.0000
B 0.0000 0.5000 0.5000
B 0.5000 0.0000 0.5000
B 0.5000 0.5000 0.0000
B 0.5000 0.5000 0.5000
Pd 0.1871 0.1871 0.5629
Pd 0.1871 0.5629 0.1871
Pd 0.1871 0.5629 0.5629
Pd 0.4371 0.4371 0.8129
Pd 0.4371 0.8129 0.4371
Pd 0.4371 0.8129 0.8129
Pd 0.5629 0.1871 0.1871
Pd 0.5629 0.1871 0.5629
Pd 0.5629 0.5629 0.1871
Pd 0.8129 0.4371 0.4371
Pd 0.8129 0.4371 0.8129
Pd 0.8129 0.8129 0.4371

The 8 most intense peaks (2θ from 10° to 90°), by intensity:
Position (°2θ)  d/Å  I (rel.)
13.68  6.472  100.0
41.87  2.157  91.7
39.38  2.288  78.0
34.89  2.572  67.7
71.40  1.321  57.0
31.93  2.802  50.9
58.83  1.570  27.2
45.79  1.982  21.8